1.
Computed powder XRD pattern of TePbS3 for Cu Kα, 1.54184 Å, from a GGA-PBE-relaxed structure.
Kinematic intensities with the Lorentz-polarization factor, no thermal factor.

Principal peaks in the range 10 to 90 degrees two-theta, sorted by position:
2θ = 15.69°, intensity 24; 2θ = 21.07°, intensity 74; 2θ = 22.79°, intensity 26; 2θ = 26.86°, intensity 24; 2θ = 27.58°, intensity 68; 2θ = 30.30°, intensity 100; 2θ = 31.69°, intensity 26; 2θ = 32.26°, intensity 25; 2θ = 39.14°, intensity 52; 2θ = 45.05°, intensity 57

Structure:
```
TePbS3
1.0
9.3520 0.0000 0.0000
0.0000 3.9453 0.0000
0.0000 0.0000 14.1688
Te Pb S
4 4 12
direct
0.1710 0.2500 0.0597
0.3290 0.7500 0.5597
0.6710 0.2500 0.4403
0.8290 0.7500 0.9403
0.0090 0.7500 0.3386
0.4910 0.2500 0.8386
0.5090 0.7500 0.1614
0.9910 0.2500 0.6614
0.0008 0.7500 0.1200
0.1581 0.2500 0.4908
0.1974 0.7500 0.7120
0.3026 0.2500 0.2120
0.3419 0.7500 0.9908
0.4992 0.2500 0.6200
0.5008 0.7500 0.3800
0.6581 0.2500 0.0092
0.6974 0.7500 0.7880
0.8026 0.2500 0.2880
0.8419 0.7500 0.5092
0.9992 0.2500 0.8800
```

2.
Computed powder XRD pattern of Ac2NdCuS5 for Cu Kα, 1.54184 Å, from a GGA-PBE-relaxed structure.
Kinematic intensities with the Lorentz-polarization factor, no thermal factor.

Principal peaks in the range 10 to 90 degrees two-theta, sorted by position:
2θ = 20.85°, intensity 38; 2θ = 22.29°, intensity 32; 2θ = 23.80°, intensity 77; 2θ = 26.80°, intensity 33; 2θ = 31.07°, intensity 100; 2θ = 32.32°, intensity 23; 2θ = 34.53°, intensity 29; 2θ = 37.20°, intensity 38; 2θ = 44.15°, intensity 23; 2θ = 50.77°, intensity 22

Structure:
```
Ac2NdCuS5
1.0
2.0512 -8.5220 0.0000
2.0512 8.5220 0.0000
0.0000 0.0000 12.4786
Ac Nd Cu S
4 2 2 10
direct
0.1153 0.8847 0.5000
0.1199 0.8801 0.1516
0.8801 0.1199 0.6516
0.8847 0.1153 0.0000
0.1778 0.8222 0.8318
0.8222 0.1778 0.3318
0.4494 0.5506 0.2296
0.5506 0.4494 0.7296
0.0161 0.9839 0.8138
0.3005 0.6995 0.4906
0.3144 0.6856 0.1715
0.3446 0.6554 0.8258
0.4938 0.5062 0.5612
0.5062 0.4938 0.0612
0.6554 0.3446 0.3258
0.6856 0.3144 0.6715
0.6995 0.3005 0.9906
0.9839 0.0161 0.3138
```